Entry 1:
# Be2Al5Pd
Theoretical X-ray powder pattern, λ = 1.5418 Å (Cu Kα). Input: a DFT-relaxed cell (GGA-PBE, OQMD).
No peak broadening, texture or thermal motion is included.

```
data_Be2Al5Pd
_symmetry_space_group_name_H-M 'I m m 2'
_symmetry_Int_Tables_number 44
_symmetry_space_group_name_Hall 'I 2 -2'
_cell_length_a 4.4554
_cell_length_b 5.2903
_cell_length_c 11.2618
_cell_angle_alpha 90.00
_cell_angle_beta 90.00
_cell_angle_gamma 90.00
loop_
_atom_site_label
_atom_site_fract_x
_atom_site_fract_y
_atom_site_fract_z
Be1 0.0000 0.0000 0.0000
Be2 0.0000 0.0000 0.1974
Al1 0.0000 0.0000 0.4097
Al2 0.0000 0.2510 0.8188
Al3 0.0000 0.5000 0.0460
Al4 0.0000 0.5000 0.5854
Pd1 0.0000 0.0000 0.6349
```

Peak list (8 most intense, 2θ from 10° to 80°, low angle first)
| 2θ (°) | I_rel |
| --- | --- |
| 15.74 | 42 |
| 18.53 | 87 |
| 21.45 | 100 |
| 37.57 | 44 |
| 40.48 | 61 |
| 41.61 | 45 |
| 45.10 | 38 |
| 46.69 | 44 |

***

Entry 2:
# ThBeAl
Theoretical X-ray powder pattern, λ = 1.5418 Å (Cu Kα). Input: a DFT-relaxed cell (GGA-PBE, OQMD).
No peak broadening, texture or thermal motion is included.

```
data_ThBeAl
_symmetry_space_group_name_H-M 'F -4 3 m'
_symmetry_Int_Tables_number 216
_symmetry_space_group_name_Hall 'F -4 2 3'
_cell_length_a 6.3668
_cell_length_b 6.3668
_cell_length_c 6.3668
_cell_angle_alpha 90.00
_cell_angle_beta 90.00
_cell_angle_gamma 90.00
loop_
_atom_site_label
_atom_site_fract_x
_atom_site_fract_y
_atom_site_fract_z
Th1 0.0000 0.0000 0.0000
Be1 0.2500 0.2500 0.7500
Al1 0.0000 0.0000 0.5000
```

Peak list (8 most intense, 2θ from 10° to 80°, low angle first)
| 2θ (°) | I_rel |
| --- | --- |
| 24.21 | 100 |
| 28.03 | 82 |
| 40.06 | 71 |
| 47.36 | 53 |
| 49.60 | 24 |
| 63.71 | 22 |
| 65.57 | 31 |
| 72.77 | 25 |

***

Entry 3:
# Al2Cu2Bi2S3Cl8
Theoretical X-ray powder pattern, λ = 1.5418 Å (Cu Kα). Input: a DFT-relaxed cell (GGA-PBE, OQMD).
No peak broadening, texture or thermal motion is included.

```
data_Al2Cu2Bi2S3Cl8
_symmetry_space_group_name_H-M 'R -3 c'
_symmetry_Int_Tables_number 167
_symmetry_space_group_name_Hall '-R 3 2"c'
_cell_length_a 6.5960
_cell_length_b 6.5960
_cell_length_c 69.6516
_cell_angle_alpha 90.00
_cell_angle_beta 90.00
_cell_angle_gamma 120.00
loop_
_atom_site_label
_atom_site_fract_x
_atom_site_fract_y
_atom_site_fract_z
Al1 0.0000 0.0000 0.1408
Cu1 0.0000 0.0000 0.0834
Bi1 0.0000 0.0000 0.2250
S1 0.0000 0.3144 0.2500
Cl1 0.0000 0.0000 0.1710
Cl2 0.0029 0.4159 0.7046
```

Peak list (8 most intense, 2θ from 10° to 80°, low angle first)
| 2θ (°) | I_rel |
| --- | --- |
| 15.72 | 100 |
| 25.73 | 46 |
| 27.04 | 74 |
| 30.05 | 61 |
| 31.43 | 40 |
| 32.33 | 51 |
| 35.77 | 30 |
| 47.77 | 38 |